1.
The following is a theoretical powder X-ray diffraction pattern of Ag2AsS2. It was derived from a structure optimized by DFT (GGA-PBE), using Cu Kα (λ = 1.5418 Å).

The 10 most intense peaks (5 to 70 degrees two-theta), by angle:
- 2θ = 26.90°, I 56, hkl 0 1 2
- 2θ = 27.74°, I 31, hkl 3 0 0
- 2θ = 28.58°, I 100, hkl 3 1 0
- 2θ = 29.19°, I 80, hkl 2 3 -1
- 2θ = 29.62°, I 28, hkl 2 0 -2
- 2θ = 29.76°, I 32, hkl 1 1 2
- 2θ = 30.92°, I 69, hkl 1 4 -1
- 2θ = 32.08°, I 42, hkl 1 4 1
- 2θ = 33.16°, I 58, hkl 0 3 2
- 2θ = 49.07°, I 31, hkl 5 2 -1

Structure:
a = 9.7574 Å, b = 13.1946 Å, c = 6.9283 Å
α = 90.00°, β = 98.70°, γ = 90.00°
Space group Pc (No. 7)
Symmetry-distinct sites (fractional):
Ag1 0.0000 0.0888 0.0000 x2
Ag2 0.0789 0.3151 0.8672 x2
Ag3 0.0814 0.2082 0.4169 x2
Ag4 0.2011 0.4944 0.5724 x2
Ag5 0.3480 0.0930 0.5991 x2
Ag6 0.4746 0.3944 0.8253 x2
Ag7 0.6835 0.1073 0.0934 x2
Ag8 0.8042 0.4056 0.3032 x2
As1 0.4151 0.1768 0.1163 x2
As2 0.4246 0.3173 0.3727 x2
As3 0.7277 0.3128 0.7831 x2
As4 0.7343 0.1670 0.5385 x2
S1 0.1949 0.3694 0.3131 x2
S2 0.2481 0.0816 0.2273 x2
S3 0.3085 0.2464 0.8338 x2
S4 0.5295 0.4323 0.2049 x2
S5 0.6129 0.0652 0.7121 x2
S6 0.8506 0.2553 0.0706 x2
S7 0.8847 0.4184 0.6750 x2
S8 0.9515 0.1010 0.6205 x2

2.
The following is a theoretical powder X-ray diffraction pattern of Ho10Si17. It was derived from a structure optimized by DFT (GGA-PBE), using Cu Kα (λ = 1.5418 Å).

The 10 most intense peaks (5 to 70 degrees two-theta), by angle:
- 2θ = 21.59°, I 29, hkl 2 0 0
- 2θ = 26.69°, I 28, hkl 0 0 2
- 2θ = 26.85°, I 55, hkl 0 5 1
- 2θ = 34.59°, I 51, hkl 2 0 2
- 2θ = 34.71°, I 100, hkl 2 5 1
- 2θ = 44.00°, I 17, hkl 4 0 0
- 2θ = 47.23°, I 25, hkl 0 5 3
- 2θ = 52.27°, I 27, hkl 4 5 1
- 2θ = 60.10°, I 19, hkl 2 10 2
- 2θ = 66.52°, I 18, hkl 4 5 3

Structure:
a = 8.2326 Å, b = 19.1307 Å, c = 6.6795 Å
α = 90.00°, β = 90.00°, γ = 90.00°
Space group Imm2 (No. 44)
Symmetry-distinct sites (fractional):
Ho1 0.2446 0.0000 0.0000 x4
Ho2 0.2480 0.3002 0.4974 x8
Ho3 0.2478 0.3996 0.9926 x8
Si1 0.0000 0.0000 0.3293 x2
Si2 0.0000 0.0000 0.6800 x2
Si3 0.0000 0.1044 0.1504 x4
Si4 0.0000 0.1215 0.7941 x4
Si5 0.0000 0.1991 0.3832 x4
Si6 0.0000 0.2848 0.8044 x4
Si7 0.0000 0.3006 0.1640 x4
Si8 0.0000 0.3998 0.6590 x4
Si9 0.0000 0.4182 0.3036 x4
Si10 0.0000 0.5000 0.8728 x2